Entry 1:
Diffraction record for PaTa2Mn9. The powder diffractogram is calculated, not measured: it uses DFT lattice parameters and positions (PBE) and copper Kα.
Peak positions follow from Bragg's law for the DFT cell and can differ from measured ones.

Largest 10 diffraction maxima, in order of rising 2θ, 2θ from 10° to 80°:
- d = 4.077 Å, 21.8°, I = 248
- d = 4.049 Å, 22.0°, I = 102
- d = 2.658 Å, 33.7°, I = 422
- d = 2.448 Å, 36.7°, I = 339
- d = 2.388 Å, 37.7°, I = 451
- d = 2.058 Å, 44.0°, I = 1000
- d = 1.600 Å, 57.6°, I = 110
- d = 1.425 Å, 65.5°, I = 153
- d = 1.340 Å, 70.2°, I = 106
- d = 1.305 Å, 72.4°, I = 160

Structure:
```
data_PaTa2Mn9
_cell_length_a 8.554
_cell_length_b 8.554
_cell_length_c 8.554
_cell_angle_alpha 32.42
_cell_angle_beta 32.42
_cell_angle_gamma 32.42
_space_group_name_H-M_alt 'P 1'
_space_group_IT_number 1
_space_group_name_Hall 'P 1'
loop_
_atom_site_label
_atom_site_type_symbol
_atom_site_fract_x
_atom_site_fract_y
_atom_site_fract_z
Pa1 Pa 0.000 0.000 0.000
Ta1 Ta 0.142 0.142 0.142
Ta2 Ta 0.858 0.858 0.858
Mn1 Mn 0.076 0.591 0.591
Mn2 Mn 0.338 0.338 0.338
Mn3 Mn 0.409 0.409 0.924
Mn4 Mn 0.409 0.924 0.409
Mn5 Mn 0.500 0.500 0.500
Mn6 Mn 0.591 0.076 0.591
Mn7 Mn 0.591 0.591 0.076
Mn8 Mn 0.662 0.662 0.662
Mn9 Mn 0.924 0.409 0.409
```

=====

Entry 2:
Diffraction record for TbPa2Mn9. The powder diffractogram is calculated, not measured: it uses DFT lattice parameters and positions (PBE) and copper Kα.
Peak positions follow from Bragg's law for the DFT cell and can differ from measured ones.

Largest 10 diffraction maxima, in order of rising 2θ, 2θ from 10° to 80°:
- d = 5.128 Å, 17.3°, I = 253
- d = 3.752 Å, 23.7°, I = 242
- d = 3.028 Å, 29.5°, I = 407
- d = 2.653 Å, 33.8°, I = 272
- d = 2.565 Å, 35.0°, I = 298
- d = 2.357 Å, 38.2°, I = 778
- d = 2.118 Å, 42.7°, I = 1000
- d = 1.437 Å, 64.9°, I = 162
- d = 1.378 Å, 68.0°, I = 136
- d = 1.332 Å, 70.7°, I = 168

Structure:
```
data_TbPa2Mn9
_cell_length_a 8.391
_cell_length_b 8.391
_cell_length_c 5.128
_cell_angle_alpha 90.00
_cell_angle_beta 90.00
_cell_angle_gamma 90.00
_space_group_name_H-M_alt 'P 1'
_space_group_IT_number 1
_space_group_name_Hall 'P 1'
loop_
_atom_site_label
_atom_site_type_symbol
_atom_site_fract_x
_atom_site_fract_y
_atom_site_fract_z
Tb1 Tb 0.000 0.000 0.000
Tb2 Tb 0.500 0.500 0.000
Pa1 Pa 0.128 0.372 0.000
Pa2 Pa 0.372 0.872 0.000
Pa3 Pa 0.628 0.128 0.000
Pa4 Pa 0.872 0.628 0.000
Mn1 Mn 0.000 0.500 0.500
Mn2 Mn 0.071 0.206 0.500
Mn3 Mn 0.177 0.677 0.250
Mn4 Mn 0.177 0.677 0.750
Mn5 Mn 0.206 0.929 0.500
Mn6 Mn 0.294 0.429 0.500
Mn7 Mn 0.323 0.177 0.250
Mn8 Mn 0.323 0.177 0.750
Mn9 Mn 0.429 0.706 0.500
Mn10 Mn 0.500 0.000 0.500
Mn11 Mn 0.571 0.294 0.500
Mn12 Mn 0.677 0.823 0.250
Mn13 Mn 0.677 0.823 0.750
Mn14 Mn 0.706 0.571 0.500
Mn15 Mn 0.794 0.071 0.500
Mn16 Mn 0.823 0.323 0.250
Mn17 Mn 0.823 0.323 0.750
Mn18 Mn 0.929 0.794 0.500
```

=====

Entry 3:
Diffraction record for PaMn2Te6. The powder diffractogram is calculated, not measured: it uses DFT lattice parameters and positions (PBE) and copper Kα.
Peak positions follow from Bragg's law for the DFT cell and can differ from measured ones.

Largest 10 diffraction maxima, in order of rising 2θ, 2θ from 10° to 80°:
- d = 3.511 Å, 25.4°, I = 629
- d = 3.237 Å, 27.6°, I = 381
- d = 3.136 Å, 28.5°, I = 486
- d = 3.030 Å, 29.5°, I = 402
- d = 2.832 Å, 31.6°, I = 472
- d = 2.814 Å, 31.8°, I = 421
- d = 2.769 Å, 32.3°, I = 944
- d = 2.743 Å, 32.6°, I = 1000
- d = 2.352 Å, 38.3°, I = 561
- d = 2.279 Å, 39.5°, I = 431

Structure:
```
data_PaMn2Te6
_cell_length_a 8.514
_cell_length_b 8.514
_cell_length_c 7.696
_cell_angle_alpha 104.41
_cell_angle_beta 104.41
_cell_angle_gamma 89.46
_space_group_name_H-M_alt 'P 1'
_space_group_IT_number 1
_space_group_name_Hall 'P 1'
loop_
_atom_site_label
_atom_site_type_symbol
_atom_site_fract_x
_atom_site_fract_y
_atom_site_fract_z
Pa1 Pa 0.148 0.852 0.750
Pa2 Pa 0.852 0.148 0.250
Mn1 Mn 0.315 0.438 0.820
Mn2 Mn 0.438 0.315 0.320
Mn3 Mn 0.562 0.685 0.680
Mn4 Mn 0.685 0.562 0.180
Te1 Te 0.092 0.182 0.646
Te2 Te 0.134 0.614 0.019
Te3 Te 0.182 0.092 0.146
Te4 Te 0.243 0.519 0.495
Te5 Te 0.386 0.866 0.481
Te6 Te 0.481 0.757 0.005
Te7 Te 0.519 0.243 0.995
Te8 Te 0.614 0.134 0.519
Te9 Te 0.757 0.481 0.505
Te10 Te 0.818 0.908 0.854
Te11 Te 0.866 0.386 0.981
Te12 Te 0.908 0.818 0.354
```

=====

Entry 4:
Diffraction record for Pa3MnTl3Te8. The powder diffractogram is calculated, not measured: it uses DFT lattice parameters and positions (PBE) and copper Kα.
Peak positions follow from Bragg's law for the DFT cell and can differ from measured ones.

Largest 10 diffraction maxima, in order of rising 2θ, 2θ from 10° to 80°:
- d = 8.446 Å, 10.5°, I = 90
- d = 6.443 Å, 13.7°, I = 127
- d = 3.222 Å, 27.7°, I = 1000
- d = 2.417 Å, 37.2°, I = 396
- d = 2.160 Å, 41.8°, I = 347
- d = 1.794 Å, 50.9°, I = 187
- d = 1.611 Å, 57.2°, I = 119
- d = 1.510 Å, 61.4°, I = 152
- d = 1.380 Å, 67.9°, I = 156
- d = 1.291 Å, 73.3°, I = 113

Structure:
```
data_Pa3MnTl3Te8
_cell_length_a 8.643
_cell_length_b 8.643
_cell_length_c 9.812
_cell_angle_alpha 116.16
_cell_angle_beta 116.16
_cell_angle_gamma 59.96
_space_group_name_H-M_alt 'P 1'
_space_group_IT_number 1
_space_group_name_Hall 'P 1'
loop_
_atom_site_label
_atom_site_type_symbol
_atom_site_fract_x
_atom_site_fract_y
_atom_site_fract_z
Pa1 Pa 0.000 0.000 0.000
Pa2 Pa 0.000 0.500 0.000
Pa3 Pa 0.500 0.000 0.000
Mn1 Mn 0.500 0.500 0.000
Tl1 Tl 0.000 0.500 0.500
Tl2 Tl 0.500 0.000 0.500
Tl3 Tl 0.500 0.500 0.500
Te1 Te 0.240 0.240 0.220
Te2 Te 0.248 0.729 0.206
Te3 Te 0.271 0.271 0.794
Te4 Te 0.271 0.752 0.794
Te5 Te 0.729 0.248 0.206
Te6 Te 0.729 0.729 0.206
Te7 Te 0.752 0.271 0.794
Te8 Te 0.760 0.760 0.780
```

=====

Entry 5:
Diffraction record for Th2PaMn2. The powder diffractogram is calculated, not measured: it uses DFT lattice parameters and positions (PBE) and copper Kα.
Peak positions follow from Bragg's law for the DFT cell and can differ from measured ones.

Largest 10 diffraction maxima, in order of rising 2θ, 2θ from 10° to 80°:
- d = 3.231 Å, 27.6°, I = 841
- d = 2.988 Å, 29.9°, I = 777
- d = 2.751 Å, 32.6°, I = 1000
- d = 2.572 Å, 34.9°, I = 459
- d = 2.077 Å, 43.6°, I = 249
- d = 1.879 Å, 48.5°, I = 669
- d = 1.705 Å, 53.8°, I = 320
- d = 1.616 Å, 57.0°, I = 227
- d = 1.596 Å, 57.8°, I = 326
- d = 1.200 Å, 80.0°, I = 131

Structure:
```
data_Th2PaMn2
_cell_length_a 4.153
_cell_length_b 5.144
_cell_length_c 11.013
_cell_angle_alpha 90.00
_cell_angle_beta 90.00
_cell_angle_gamma 90.00
_space_group_name_H-M_alt 'P 1'
_space_group_IT_number 1
_space_group_name_Hall 'P 1'
loop_
_atom_site_label
_atom_site_type_symbol
_atom_site_fract_x
_atom_site_fract_y
_atom_site_fract_z
Th1 Th 0.000 0.000 0.172
Th2 Th 0.000 0.000 0.828
Th3 Th 0.500 0.500 0.328
Th4 Th 0.500 0.500 0.672
Pa1 Pa 0.000 0.000 0.500
Pa2 Pa 0.500 0.500 0.000
Mn1 Mn 0.000 0.500 0.123
Mn2 Mn 0.000 0.500 0.877
Mn3 Mn 0.500 0.000 0.377
Mn4 Mn 0.500 0.000 0.623
```

=====

Entry 6:
Diffraction record for TmPa2Mn2. The powder diffractogram is calculated, not measured: it uses DFT lattice parameters and positions (PBE) and copper Kα.
Peak positions follow from Bragg's law for the DFT cell and can differ from measured ones.

Largest 10 diffraction maxima, in order of rising 2θ, 2θ from 10° to 80°:
- d = 7.533 Å, 11.7°, I = 352
- d = 3.282 Å, 27.2°, I = 631
- d = 3.159 Å, 28.3°, I = 527
- d = 3.087 Å, 28.9°, I = 445
- d = 2.996 Å, 29.8°, I = 423
- d = 2.680 Å, 33.4°, I = 366
- d = 2.663 Å, 33.7°, I = 232
- d = 2.511 Å, 35.8°, I = 1000
- d = 2.240 Å, 40.3°, I = 315
- d = 2.097 Å, 43.1°, I = 242

Structure:
```
data_TmPa2Mn2
_cell_length_a 4.452
_cell_length_b 6.929
_cell_length_c 7.790
_cell_angle_alpha 86.79
_cell_angle_beta 75.31
_cell_angle_gamma 72.22
_space_group_name_H-M_alt 'P 1'
_space_group_IT_number 1
_space_group_name_Hall 'P 1'
loop_
_atom_site_label
_atom_site_type_symbol
_atom_site_fract_x
_atom_site_fract_y
_atom_site_fract_z
Tm1 Tm 0.233 0.240 0.469
Tm2 Tm 0.767 0.760 0.531
Pa1 Pa 0.188 0.633 0.855
Pa2 Pa 0.413 0.840 0.160
Pa3 Pa 0.587 0.160 0.840
Pa4 Pa 0.812 0.367 0.145
Mn1 Mn 0.078 0.577 0.200
Mn2 Mn 0.209 0.018 0.832
Mn3 Mn 0.791 0.982 0.168
Mn4 Mn 0.922 0.423 0.800
```